(1)
Theoretical powder XRD pattern of MgSi2 for Cu Kα, 1.54184 Å, from a PBE-relaxed structure.
Lines closer than 0.1° are merged.

The 10 most intense peaks (2θ from 15° to 90°), in order of rising 2θ:
2.351 Å, 2θ = 38.29°, intensity 1000; 2.309 Å, 2θ = 39.01°, intensity 961; 2.133 Å, 2θ = 42.37°, intensity 700; 1.833 Å, 2θ = 49.73°, intensity 245; 1.532 Å, 2θ = 60.45°, intensity 99; 1.486 Å, 2θ = 62.49°, intensity 95; 1.390 Å, 2θ = 67.35°, intensity 341; 1.276 Å, 2θ = 74.33°, intensity 206; 1.256 Å, 2θ = 75.72°, intensity 205; 1.130 Å, 2θ = 85.99°, intensity 94

Structural model:
abc: 4.2662 3.6668 6.6903
angles: 90.00 106.87 90.00
Space group P2_1/m (No. 11)
One atom of each set of equivalent atoms:
Mg (0.0949, 0.2500, 0.1883) [2 per cell]
Si (0.2705, 0.7500, 0.5316) [2 per cell]
Si (0.4310, 0.2500, 0.8605) [2 per cell]

***

(2)
Theoretical powder XRD pattern of Sm3In for Cu Kα, 1.54184 Å, from a PBE-relaxed structure.
Lines closer than 0.1° are merged.

The 10 most intense peaks (2θ from 15° to 90°), in order of rising 2θ:
3.064 Å, 2θ = 29.15°, intensity 239; 2.769 Å, 2θ = 32.33°, intensity 247; 2.681 Å, 2θ = 33.42°, intensity 1000; 2.054 Å, 2θ = 44.08°, intensity 155; 1.769 Å, 2θ = 51.67°, intensity 190; 1.581 Å, 2θ = 58.36°, intensity 201; 1.491 Å, 2θ = 62.28°, intensity 213; 1.477 Å, 2θ = 62.95°, intensity 153; 1.134 Å, 2θ = 85.70°, intensity 125; 1.090 Å, 2θ = 90.00°, intensity 81

Structural model:
abc: 7.0759 7.0759 5.5379
angles: 90.00 90.00 120.00
Space group P6_3/mmc (No. 194)
One atom of each set of equivalent atoms:
Sm (0.1744, 0.3489, 0.2500) [6 per cell]
In (0.3333, 0.6667, 0.7500) [2 per cell]

***

(3)
Theoretical powder XRD pattern of MgNbCu3S4 for Cu Kα, 1.54184 Å, from a PBE-relaxed structure.
Lines closer than 0.1° are merged.

The 10 most intense peaks (2θ from 15° to 90°), in order of rising 2θ:
5.683 Å, 2θ = 15.59°, intensity 1000; 3.260 Å, 2θ = 27.36°, intensity 269; 2.842 Å, 2θ = 31.48°, intensity 154; 2.562 Å, 2θ = 35.02°, intensity 282; 2.522 Å, 2θ = 35.60°, intensity 270; 2.030 Å, 2θ = 44.65°, intensity 439; 1.990 Å, 2θ = 45.60°, intensity 476; 1.894 Å, 2θ = 48.03°, intensity 119; 1.421 Å, 2θ = 65.72°, intensity 126; 1.156 Å, 2θ = 83.63°, intensity 124

Structural model:
abc: 7.9584 7.9584 10.0452
angles: 90.00 90.00 120.00
Space group R3m (No. 160, hexagonal axes)
One atom of each set of equivalent atoms:
Mg (0.0000, 0.0000, 0.0000) [3 per cell]
Nb (0.0000, 0.0000, 0.2993) [3 per cell]
Cu (0.1726, 0.3452, 0.1414) [9 per cell]
S (0.0000, 0.0000, 0.5452) [3 per cell]
S (0.1670, 0.3339, 0.9077) [9 per cell]

***

(4)
Theoretical powder XRD pattern of Lu6UO12 for Cu Kα, 1.54184 Å, from a PBE-relaxed structure.
Lines closer than 0.1° are merged.

The 10 most intense peaks (2θ from 15° to 90°), in order of rising 2θ:
3.066 Å, 2θ = 29.13°, intensity 286; 3.031 Å, 2θ = 29.47°, intensity 1000; 2.632 Å, 2θ = 34.06°, intensity 467; 1.869 Å, 2θ = 48.71°, intensity 235; 1.853 Å, 2θ = 49.16°, intensity 281; 1.596 Å, 2θ = 57.77°, intensity 98; 1.586 Å, 2θ = 58.17°, intensity 228; 1.581 Å, 2θ = 58.37°, intensity 133; 1.515 Å, 2θ = 61.16°, intensity 95; 1.203 Å, 2θ = 79.72°, intensity 84

Structural model:
abc: 9.8062 9.8062 9.1980
angles: 90.00 90.00 120.00
Space group R-3 (No. 148, hexagonal axes)
One atom of each set of equivalent atoms:
Lu (0.0335, 0.2485, 0.1393) [18 per cell]
U (0.0000, 0.0000, 0.5000) [3 per cell]
O (0.0273, 0.2175, 0.8956) [18 per cell]
O (0.0287, 0.1958, 0.3830) [18 per cell]

***

(5)
Theoretical powder XRD pattern of MgVCrS4 for Cu Kα, 1.54184 Å, from a PBE-relaxed structure.
Lines closer than 0.1° are merged.

The 10 most intense peaks (2θ from 15° to 90°), in order of rising 2θ:
5.858 Å, 2θ = 15.12°, intensity 596; 3.093 Å, 2θ = 28.86°, intensity 556; 3.053 Å, 2θ = 29.25°, intensity 340; 2.580 Å, 2θ = 34.77°, intensity 512; 2.544 Å, 2θ = 35.28°, intensity 1000; 1.984 Å, 2θ = 45.73°, intensity 255; 1.951 Å, 2θ = 46.54°, intensity 246; 1.820 Å, 2θ = 50.12°, intensity 253; 1.812 Å, 2θ = 50.37°, intensity 964; 1.779 Å, 2θ = 51.37°, intensity 226

Structural model:
abc: 7.1149 7.2797 10.3203
angles: 90.00 90.00 90.00
Space group Imma (No. 74)
One atom of each set of equivalent atoms:
Mg (0.0000, 0.2500, 0.1262) [4 per cell]
V (0.2500, 0.2500, 0.7500) [4 per cell]
Cr (0.0000, 0.0000, 0.5000) [4 per cell]
S (0.0000, 0.0216, 0.7352) [8 per cell]
S (0.2243, 0.2500, 0.5129) [8 per cell]